Structure and computed X-ray diffraction stick pattern of MgCuB2 (DFT lattice parameters and positions (PBE); CuKα).
Peak positions follow from Bragg's law for the DFT cell and can differ from measured ones.

Main lines, sorted by position (2θ = 10–90°):
| (hkl) | d/Å | I (rel.) |
| --- | --- | --- |
| 0 0 4 | 3.626 | 50 |
| 1 0 1 | 3.478 | 49 |
| 1 1 2 | 2.391 | 100 |
| 0 0 8 | 1.813 | 14 |
| 2 0 0 | 1.792 | 26 |
| 1 1 6 | 1.749 | 37 |
| 2 0 4 | 1.606 | 27 |
| 3 1 2 | 1.119 | 15 |

Unit cell a=3.582 b=3.582 c=14.504 alpha=90.00 beta=90.00 gamma=90.00
Space group I4_1/amd (No. 141, origin choice 2)
Symmetry-distinct sites (fractional):
Mg: 0.000 0.250 0.375 (multiplicity 4)
Cu: 0.000 0.250 0.875 (multiplicity 4)
B: 0.000 0.000 0.000 (multiplicity 8)

***

Structure and computed X-ray diffraction stick pattern of TbCdNi (DFT lattice parameters and positions (PBE); CuKα).
Peak positions follow from Bragg's law for the DFT cell and can differ from measured ones.

Main lines, sorted by position (2θ = 10–90°):
| (hkl) | d/Å | I (rel.) |
| --- | --- | --- |
| 1 0 1 | 3.244 | 25 |
| 0 0 4 | 2.629 | 10 |
| 1 0 3 | 2.444 | 100 |
| 1 1 0 | 2.412 | 55 |
| 1 1 4 | 1.777 | 12 |
| 2 0 0 | 1.705 | 19 |
| 1 1 6 | 1.418 | 11 |
| 2 1 3 | 1.399 | 33 |

Unit cell a=3.410 b=3.410 c=10.516 alpha=90.00 beta=90.00 gamma=90.00
Space group I4mm (No. 107)
Symmetry-distinct sites (fractional):
Tb: 0.000 0.000 0.000 (multiplicity 2)
Cd: 0.000 0.000 0.711 (multiplicity 2)
Ni: 0.000 0.000 0.353 (multiplicity 2)

***

Structure and computed X-ray diffraction stick pattern of NdTc4C2 (DFT lattice parameters and positions (PBE); CuKα).
Peak positions follow from Bragg's law for the DFT cell and can differ from measured ones.

Main lines, sorted by position (2θ = 10–90°):
| (hkl) | d/Å | I (rel.) |
| --- | --- | --- |
| 0 2 0 | 6.920 | 22 |
| 1 1 0 | 3.800 | 12 |
| 1 3 1 | 2.382 | 100 |
| 0 6 0 | 2.307 | 20 |
| 2 0 0 | 1.976 | 17 |
| 0 0 2 | 1.960 | 26 |
| 3 3 1 | 1.205 | 11 |
| 1 3 3 | 1.197 | 11 |

Unit cell a=3.952 b=13.840 c=3.917 alpha=90.00 beta=90.00 gamma=90.00
Space group Cmmm (No. 65)
Symmetry-distinct sites (fractional):
Nd: 0.000 0.000 0.000 (multiplicity 2)
Tc: 0.000 0.179 0.500 (multiplicity 4)
Tc: 0.000 0.314 0.000 (multiplicity 4)
C: 0.000 0.368 0.500 (multiplicity 4)

***

Structure and computed X-ray diffraction stick pattern of Tl2SnS2 (DFT lattice parameters and positions (PBE); CuKα).
Peak positions follow from Bragg's law for the DFT cell and can differ from measured ones.

Main lines, sorted by position (2θ = 10–90°):
| (hkl) | d/Å | I (rel.) |
| --- | --- | --- |
| 0 0 2 | 3.604 | 72 |
| 1 2 -1 | 3.403 | 18 |
| 3 0 0 | 3.306 | 35 |
| 1 2 1 | 3.062 | 77 |
| 3 0 -2 | 3.050 | 100 |
| 1 2 -2 | 2.734 | 20 |
| 4 2 -1 | 2.191 | 21 |
| 2 2 -3 | 2.134 | 24 |

Unit cell a=10.646 b=7.719 c=7.748 alpha=90.00 beta=111.29 gamma=90.00
Space group P2_1/c (No. 14)
Symmetry-distinct sites (fractional):
Tl: 0.043 0.229 0.079 (multiplicity 4)
Tl: 0.306 0.584 0.961 (multiplicity 4)
Sn: 0.339 0.109 0.980 (multiplicity 4)
S: 0.151 0.588 0.238 (multiplicity 4)
S: 0.487 0.635 0.685 (multiplicity 4)

***

Structure and computed X-ray diffraction stick pattern of La2HgH (DFT lattice parameters and positions (PBE); CuKα).
Peak positions follow from Bragg's law for the DFT cell and can differ from measured ones.

Main lines, sorted by position (2θ = 10–90°):
| (hkl) | d/Å | I (rel.) |
| --- | --- | --- |
| 1 0 1 | 3.069 | 100 |
| 0 0 3 | 2.636 | 21 |
| 0 1 2 | 2.547 | 64 |
| 1 1 0 | 1.923 | 27 |
| 1 0 4 | 1.700 | 16 |
| 0 2 1 | 1.629 | 16 |
| 1 1 3 | 1.553 | 25 |
| 2 0 2 | 1.535 | 14 |

Unit cell a=3.8454 b=3.8454 c=7.9081 alpha=90.00 beta=90.00 gamma=120.00
Space group P-3m1 (No. 164)
Symmetry-distinct sites (fractional):
La: 0.3333 0.6667 0.1866 (multiplicity 2)
Hg: 0.0000 0.0000 0.5000 (multiplicity 1)
H: 0.0000 0.0000 0.0000 (multiplicity 1)

***

Structure and computed X-ray diffraction stick pattern of Ho15Er4Mg (DFT lattice parameters and positions (PBE); CuKα).
Peak positions follow from Bragg's law for the DFT cell and can differ from measured ones.

Main lines, sorted by position (2θ = 10–90°):
| (hkl) | d/Å | I (rel.) |
| --- | --- | --- |
| 1 1 5 | 2.864 | 100 |
| 2 0 0 | 2.480 | 51 |
| 2 2 0 | 1.754 | 36 |
| 1 1 15 | 1.497 | 14 |
| 3 1 5 | 1.495 | 28 |
| 2 2 10 | 1.432 | 12 |
| 3 1 15 | 1.138 | 12 |
| 4 2 0 | 1.109 | 11 |

Unit cell a=4.957 b=4.957 c=24.831 alpha=90.00 beta=90.00 gamma=90.00
Space group P4/mmm (No. 123)
Symmetry-distinct sites (fractional):
Ho: 0.000 0.000 0.000 (multiplicity 1)
Ho: 0.000 0.000 0.197 (multiplicity 2)
Ho: 0.000 0.000 0.399 (multiplicity 2)
Ho: 0.000 0.500 0.099 (multiplicity 4)
Ho: 0.000 0.500 0.299 (multiplicity 4)
Ho: 0.000 0.500 0.500 (multiplicity 2)
Er: 0.500 0.500 0.198 (multiplicity 2)
Er: 0.500 0.500 0.399 (multiplicity 2)
Mg: 0.500 0.500 0.000 (multiplicity 1)

***

Structure and computed X-ray diffraction stick pattern of NaAg2PtF8 (DFT lattice parameters and positions (PBE); CuKα).
Peak positions follow from Bragg's law for the DFT cell and can differ from measured ones.

Main lines, sorted by position (2θ = 10–90°):
| (hkl) | d/Å | I (rel.) |
| --- | --- | --- |
| 0 0 2 | 5.387 | 16 |
| 1 0 1 | 4.887 | 26 |
| 1 1 2 | 3.147 | 100 |
| 2 0 0 | 2.742 | 15 |
| 2 2 0 | 1.939 | 21 |
| 2 0 4 | 1.921 | 41 |
| 3 1 2 | 1.651 | 29 |
| 1 1 6 | 1.629 | 16 |

Unit cell a=5.483 b=5.483 c=10.773 alpha=90.00 beta=90.00 gamma=90.00
Space group I-4m2 (No. 119)
Symmetry-distinct sites (fractional):
Na: 0.000 0.000 0.000 (multiplicity 2)
Ag: 0.000 0.000 0.500 (multiplicity 2)
Ag: 0.000 0.500 0.750 (multiplicity 2)
Pt: 0.000 0.500 0.250 (multiplicity 2)
F: 0.224 0.275 0.364 (multiplicity 16)

***

Structure and computed X-ray diffraction stick pattern of Nd4Zn2Cu (DFT lattice parameters and positions (PBE); CuKα).
Peak positions follow from Bragg's law for the DFT cell and can differ from measured ones.

Main lines, sorted by position (2θ = 10–90°):
| (hkl) | d/Å | I (rel.) |
| --- | --- | --- |
| 2 0 0 | 3.630 | 27 |
| 2 2 0 | 2.567 | 100 |
| 2 2 2 | 2.096 | 8 |
| 4 0 0 | 1.813 | 12 |
| 4 0 2 | 1.624 | 7 |
| 4 2 2 | 1.482 | 36 |
| 4 0 4 | 1.284 | 7 |
| 6 2 0 | 1.147 | 10 |

Unit cell a=7.254 b=7.254 c=7.271 alpha=90.00 beta=90.00 gamma=90.00
Space group I4/mmm (No. 139)
Symmetry-distinct sites (fractional):
Nd: 0.250 0.250 0.250 (multiplicity 8)
Zn: 0.000 0.500 0.000 (multiplicity 4)
Cu: 0.000 0.000 0.000 (multiplicity 2)

***

Structure and computed X-ray diffraction stick pattern of CeSm3Tm4 (DFT lattice parameters and positions (PBE); CuKα).
Peak positions follow from Bragg's law for the DFT cell and can differ from measured ones.

Main lines, sorted by position (2θ = 10–90°):
| (hkl) | d/Å | I (rel.) |
| --- | --- | --- |
| 1 1 1 | 2.894 | 100 |
| 0 0 4 | 2.870 | 33 |
| 2 0 2 | 2.501 | 67 |
| 0 2 0 | 1.774 | 24 |
| 1 1 5 | 1.763 | 24 |
| 2 2 -2 | 1.513 | 14 |
| 0 2 4 | 1.509 | 28 |
| 1 1 -7 | 1.502 | 14 |

Unit cell a=6.150 b=3.546 c=11.665 alpha=90.00 beta=100.17 gamma=90.00
Space group P2/m (No. 10)
Symmetry-distinct sites (fractional):
Ce: 0.000 0.000 0.000 (multiplicity 1)
Sm: 0.000 0.500 0.500 (multiplicity 1)
Sm: 0.500 0.000 0.500 (multiplicity 1)
Sm: 0.500 0.500 0.000 (multiplicity 1)
Tm: 0.246 0.500 0.247 (multiplicity 2)
Tm: 0.247 0.000 0.751 (multiplicity 2)

***

Structure and computed X-ray diffraction stick pattern of CaAcIn4 (DFT lattice parameters and positions (PBE); CuKα).
Peak positions follow from Bragg's law for the DFT cell and can differ from measured ones.

Main lines, sorted by position (2θ = 10–90°):
| (hkl) | d/Å | I (rel.) |
| --- | --- | --- |
| 0 1 1 | 5.948 | 36 |
| 1 1 2 | 3.093 | 56 |
| 0 2 2 | 2.974 | 41 |
| 1 2 1 | 2.902 | 100 |
| 1 0 3 | 2.610 | 75 |
| 0 3 1 | 2.497 | 31 |
| 2 0 0 | 2.471 | 42 |
| 1 3 4 | 1.627 | 26 |

Unit cell a=4.941 b=7.783 c=9.222 alpha=90.00 beta=90.00 gamma=90.00
Space group Imm2 (No. 44)
Symmetry-distinct sites (fractional):
Ca: 0.000 0.000 0.000 (multiplicity 2)
Ac: 0.000 0.500 0.105 (multiplicity 2)
In: 0.000 0.207 0.398 (multiplicity 4)
In: 0.000 0.306 0.720 (multiplicity 4)

***

Structure and computed X-ray diffraction stick pattern of Hg4S2I5 (DFT lattice parameters and positions (PBE); CuKα).
Peak positions follow from Bragg's law for the DFT cell and can differ from measured ones.

Main lines, sorted by position (2θ = 10–90°):
| (hkl) | d/Å | I (rel.) |
| --- | --- | --- |
| 0 1 -2 | 4.418 | 100 |
| 1 1 2 | 3.722 | 76 |
| 0 0 3 | 3.693 | 85 |
| 1 2 1 | 3.466 | 50 |
| 1 2 0 | 3.364 | 42 |
| -1 1 2 | 3.004 | 39 |
| 1 -2 0 | 2.963 | 57 |
| 0 2 -4 | 2.208 | 50 |

Unit cell a=4.413 b=9.466 c=11.440 alpha=78.59 beta=79.61 gamma=80.92
Space group P-1 (No. 2)
Symmetry-distinct sites (fractional):
Hg: 0.026 0.464 0.236 (multiplicity 2)
Hg: 0.467 0.215 0.562 (multiplicity 2)
S: 0.014 0.598 0.523 (multiplicity 2)
I: 0.000 0.000 0.500 (multiplicity 1)
I: 0.183 0.239 0.817 (multiplicity 2)
I: 0.396 0.693 0.844 (multiplicity 2)

***

Structure and computed X-ray diffraction stick pattern of NdTh2Cu2Ge2 (DFT lattice parameters and positions (PBE); CuKα).
Peak positions follow from Bragg's law for the DFT cell and can differ from measured ones.

Main lines, sorted by position (2θ = 10–90°):
| (hkl) | d/Å | I (rel.) |
| --- | --- | --- |
| 1 0 1 | 3.559 | 44 |
| 1 0 4 | 3.290 | 27 |
| 1 0 7 | 2.865 | 90 |
| 0 1 8 | 2.719 | 100 |
| 1 1 0 | 2.066 | 73 |
| 2 0 8 | 1.645 | 23 |
| 1 1 15 | 1.516 | 37 |
| 1 2 8 | 1.287 | 20 |

Unit cell a=4.1329 b=4.1329 c=33.4509 alpha=90.00 beta=90.00 gamma=120.00
Space group R-3m (No. 166, hexagonal axes)
Symmetry-distinct sites (fractional):
Nd: 0.0000 0.0000 0.0000 (multiplicity 3)
Th: 0.0000 0.0000 0.1239 (multiplicity 6)
Cu: 0.0000 0.0000 0.4003 (multiplicity 6)
Ge: 0.0000 0.0000 0.2724 (multiplicity 6)

***

Structure and computed X-ray diffraction stick pattern of AcAlPdPt (DFT lattice parameters and positions (PBE); CuKα).
Peak positions follow from Bragg's law for the DFT cell and can differ from measured ones.

Main lines, sorted by position (2θ = 10–90°):
| (hkl) | d/Å | I (rel.) |
| --- | --- | --- |
| 1 1 0 | 3.712 | 100 |
| 2 0 -2 | 2.755 | 91 |
| 2 0 1 | 2.445 | 99 |
| 0 2 0 | 2.204 | 93 |
| 2 2 -2 | 1.721 | 23 |
| 2 2 1 | 1.637 | 30 |
| 1 1 3 | 1.469 | 24 |
| 5 1 0 | 1.314 | 29 |

Unit cell a=7.634 b=4.409 c=5.880 alpha=90.00 beta=115.53 gamma=90.00
Space group Cm (No. 8)
Symmetry-distinct sites (fractional):
Ac: 0.000 0.000 0.000 (multiplicity 2)
Al: 0.495 0.000 0.484 (multiplicity 2)
Pd: 0.207 0.000 0.621 (multiplicity 2)
Pt: 0.293 0.500 0.379 (multiplicity 2)

***

Structure and computed X-ray diffraction stick pattern of Tb7YTm3 (DFT lattice parameters and positions (PBE); CuKα).
Peak positions follow from Bragg's law for the DFT cell and can differ from measured ones.

Main lines, sorted by position (2θ = 10–90°):
| (hkl) | d/Å | I (rel.) |
| --- | --- | --- |
| 1 3 0 | 3.523 | 12 |
| 2 0 -2 | 2.885 | 35 |
| 4 0 0 | 2.791 | 12 |
| 0 4 0 | 2.779 | 14 |
| 3 3 -1 | 2.724 | 100 |
| 2 4 -2 | 2.001 | 11 |
| 5 3 -3 | 1.633 | 22 |
| 3 7 -1 | 1.477 | 10 |

Unit cell a=12.561 b=11.117 c=5.769 alpha=90.00 beta=117.26 gamma=90.00
Space group C2/m (No. 12)
Symmetry-distinct sites (fractional):
Tb: 0.000 0.000 0.000 (multiplicity 2)
Tb: 0.197 0.296 0.697 (multiplicity 8)
Tb: 0.207 0.500 0.206 (multiplicity 4)
Y: 0.000 0.000 0.500 (multiplicity 2)
Tm: 0.000 0.295 0.000 (multiplicity 4)
Tm: 0.000 0.500 0.500 (multiplicity 2)